Computed powder diffraction line list
Compound: Sr5Pb3F
Radiation: Cu Kα X-rays
Structure: a structure optimized by DFT (GGA-PBE)

Peak list (10 most intense, 5 to 70 degrees two-theta, in order of rising 2θ)
| 2θ (°) | d/Å | Rel. int. |
| --- | --- | --- |
| 18.02 | 4.922 | 30 |
| 22.06 | 4.029 | 14 |
| 28.13 | 3.173 | 100 |
| 30.09 | 2.970 | 24 |
| 32.20 | 2.780 | 52 |
| 36.46 | 2.464 | 18 |
| 39.36 | 2.289 | 20 |
| 53.90 | 1.701 | 15 |
| 56.43 | 1.630 | 24 |
| 59.14 | 1.562 | 16 |

Crystal structure
Cell: 10.177 10.177 10.177 Å, 128.82 128.82 75.30°
Atoms (fractional coordinates):
Sr: 0.000 0.000 0.000
Sr: 0.007 0.507 0.819
Sr: 0.189 0.007 0.500
Sr: 0.311 0.811 0.819
Sr: 0.493 0.311 0.500
Sr: 0.500 0.500 0.000
Sr: 0.507 0.689 0.500
Sr: 0.689 0.189 0.181
Sr: 0.811 0.993 0.500
Sr: 0.993 0.493 0.181
Pb: 0.127 0.373 0.500
Pb: 0.250 0.250 0.000
Pb: 0.373 0.873 0.245
Pb: 0.627 0.127 0.755
Pb: 0.750 0.750 0.000
Pb: 0.873 0.627 0.500
F: 0.250 0.750 0.500
F: 0.750 0.250 0.500



Computed powder diffraction line list
Compound: Sr2Pb2F7
Radiation: Cu Kα X-rays
Structure: a structure optimized by DFT (GGA-PBE)

Peak list (10 most intense, 5 to 70 degrees two-theta, in order of rising 2θ)
| 2θ (°) | d/Å | Rel. int. |
| --- | --- | --- |
| 14.18 | 6.247 | 23 |
| 24.87 | 3.580 | 97 |
| 27.10 | 3.291 | 100 |
| 28.58 | 3.124 | 27 |
| 30.86 | 2.897 | 36 |
| 34.11 | 2.628 | 20 |
| 41.34 | 2.184 | 21 |
| 42.56 | 2.124 | 72 |
| 50.13 | 1.820 | 35 |
| 53.84 | 1.703 | 25 |

Crystal structure
Cell: 5.837 5.837 6.247 Å, 90.00 90.00 96.91°
Atoms (fractional coordinates):
Sr: 0.232 0.768 0.000
Sr: 0.768 0.232 0.000
Pb: 0.248 0.248 0.500
Pb: 0.752 0.752 0.500
F: 0.000 0.000 0.222
F: 0.000 0.000 0.778
F: 0.000 0.500 0.257
F: 0.000 0.500 0.743
F: 0.500 0.000 0.257
F: 0.500 0.000 0.743
F: 0.500 0.500 0.000



Computed powder diffraction line list
Compound: TbPb3F8
Radiation: Cu Kα X-rays
Structure: a structure optimized by DFT (GGA-PBE)

Peak list (10 most intense, 5 to 70 degrees two-theta, in order of rising 2θ)
| 2θ (°) | d/Å | Rel. int. |
| --- | --- | --- |
| 21.18 | 4.196 | 1 |
| 26.01 | 3.426 | 100 |
| 30.12 | 2.967 | 33 |
| 33.78 | 2.654 | 1 |
| 37.11 | 2.422 | 1 |
| 43.12 | 2.098 | 55 |
| 51.05 | 1.789 | 49 |
| 53.50 | 1.713 | 10 |
| 62.62 | 1.483 | 9 |
| 68.99 | 1.361 | 21 |

Crystal structure
Cell: 5.934 5.934 5.934 Å, 90.00 90.00 90.00°
Atoms (fractional coordinates):
Tb: 0.000 0.000 0.000
Pb: 0.000 0.500 0.500
Pb: 0.500 0.000 0.500
Pb: 0.500 0.500 0.000
F: 0.225 0.225 0.225
F: 0.225 0.225 0.775
F: 0.225 0.775 0.225
F: 0.225 0.775 0.775
F: 0.775 0.225 0.225
F: 0.775 0.225 0.775
F: 0.775 0.775 0.225
F: 0.775 0.775 0.775



Computed powder diffraction line list
Compound: TbPbF4
Radiation: Cu Kα X-rays
Structure: a structure optimized by DFT (GGA-PBE)

Peak list (10 most intense, 5 to 70 degrees two-theta, in order of rising 2θ)
| 2θ (°) | d/Å | Rel. int. |
| --- | --- | --- |
| 23.46 | 3.792 | 83 |
| 26.96 | 3.307 | 100 |
| 33.42 | 2.681 | 22 |
| 43.45 | 2.083 | 69 |
| 47.99 | 1.896 | 15 |
| 49.61 | 1.838 | 22 |
| 54.08 | 1.696 | 15 |
| 55.57 | 1.654 | 15 |
| 55.90 | 1.645 | 19 |
| 66.71 | 1.402 | 15 |

Crystal structure
Cell: 6.813 6.813 6.813 Å, 112.36 112.36 103.84°
Atoms (fractional coordinates):
Tb: 0.000 0.000 0.000
Tb: 0.750 0.250 0.500
Pb: 0.251 0.751 0.500
Pb: 0.501 0.501 0.000
F: 0.131 0.446 0.685
F: 0.196 0.012 0.815
F: 0.196 0.381 0.185
F: 0.350 0.058 0.292
F: 0.762 0.446 0.315
F: 0.765 0.058 0.708
F: 0.808 0.015 0.208
F: 0.808 0.600 0.792



Computed powder diffraction line list
Compound: TbPb4F10
Radiation: Cu Kα X-rays
Structure: a structure optimized by DFT (GGA-PBE)

Peak list (10 most intense, 5 to 70 degrees two-theta, in order of rising 2θ)
| 2θ (°) | d/Å | Rel. int. |
| --- | --- | --- |
| 25.98 | 3.430 | 100 |
| 28.71 | 3.109 | 13 |
| 30.75 | 2.907 | 21 |
| 42.57 | 2.124 | 38 |
| 44.05 | 2.056 | 18 |
| 49.23 | 1.851 | 18 |
| 51.85 | 1.763 | 31 |
| 53.43 | 1.715 | 10 |
| 68.17 | 1.376 | 14 |
| 68.43 | 1.371 | 6 |

Crystal structure
Cell: 7.206 7.206 7.206 Å, 100.73 100.73 128.88°
Atoms (fractional coordinates):
Tb: 0.000 0.000 0.000
Pb: 0.200 0.601 0.801
Pb: 0.399 0.200 0.599
Pb: 0.601 0.800 0.401
Pb: 0.800 0.399 0.199
F: 0.030 0.119 0.719
F: 0.119 0.400 0.089
F: 0.250 0.750 0.500
F: 0.312 0.030 0.911
F: 0.400 0.312 0.281
F: 0.600 0.688 0.719
F: 0.688 0.970 0.089
F: 0.750 0.250 0.500
F: 0.881 0.600 0.911
F: 0.970 0.881 0.281



Computed powder diffraction line list
Compound: TcPb2F
Radiation: Cu Kα X-rays
Structure: a structure optimized by DFT (GGA-PBE)

Peak list (9 most intense, 5 to 70 degrees two-theta, in order of rising 2θ)
| 2θ (°) | d/Å | Rel. int. |
| --- | --- | --- |
| 22.24 | 3.998 | 6 |
| 25.73 | 3.462 | 36 |
| 36.71 | 2.448 | 100 |
| 43.34 | 2.088 | 3 |
| 45.37 | 1.999 | 11 |
| 52.89 | 1.731 | 18 |
| 58.06 | 1.589 | 1 |
| 59.72 | 1.548 | 16 |
| 66.11 | 1.413 | 36 |

Crystal structure
Cell: 6.924 6.924 6.924 Å, 90.00 90.00 90.00°
Atoms (fractional coordinates):
Tc: 0.000 0.000 0.000
Tc: 0.000 0.500 0.500
Tc: 0.500 0.000 0.500
Tc: 0.500 0.500 0.000
Pb: 0.250 0.250 0.250
Pb: 0.250 0.250 0.750
Pb: 0.250 0.750 0.250
Pb: 0.250 0.750 0.750
Pb: 0.750 0.250 0.250
Pb: 0.750 0.250 0.750
Pb: 0.750 0.750 0.250
Pb: 0.750 0.750 0.750
F: 0.000 0.000 0.500
F: 0.000 0.500 0.000
F: 0.500 0.000 0.000
F: 0.500 0.500 0.500



Computed powder diffraction line list
Compound: TePbF6
Radiation: Cu Kα X-rays
Structure: a structure optimized by DFT (GGA-PBE)

Peak list (10 most intense, 5 to 70 degrees two-theta, in order of rising 2θ)
| 2θ (°) | d/Å | Rel. int. |
| --- | --- | --- |
| 22.96 | 3.873 | 30 |
| 23.52 | 3.782 | 82 |
| 24.96 | 3.568 | 100 |
| 25.13 | 3.544 | 70 |
| 27.27 | 3.270 | 32 |
| 32.58 | 2.749 | 21 |
| 37.31 | 2.410 | 26 |
| 38.39 | 2.345 | 19 |
| 42.27 | 2.138 | 31 |
| 45.01 | 2.014 | 20 |

Crystal structure
Cell: 4.770 13.079 8.679 Å, 90.00 103.63 90.00°
Atoms (fractional coordinates):
Te: 0.052 0.223 0.471
Te: 0.052 0.277 0.971
Te: 0.948 0.723 0.029
Te: 0.948 0.777 0.529
Pb: 0.367 0.505 0.692
Pb: 0.367 0.995 0.192
Pb: 0.633 0.005 0.808
Pb: 0.633 0.495 0.308
F: 0.116 0.672 0.864
F: 0.116 0.828 0.364
F: 0.201 0.619 0.157
F: 0.201 0.881 0.657
F: 0.220 0.030 0.915
F: 0.220 0.470 0.415
F: 0.245 0.187 0.163
F: 0.245 0.313 0.663
F: 0.302 0.684 0.564
F: 0.302 0.816 0.064
F: 0.319 0.105 0.545
F: 0.319 0.395 0.045
F: 0.681 0.605 0.955
F: 0.681 0.895 0.455
F: 0.698 0.184 0.936
F: 0.698 0.316 0.436
F: 0.755 0.687 0.337
F: 0.755 0.813 0.837
F: 0.780 0.530 0.585
F: 0.780 0.970 0.085
F: 0.799 0.119 0.343
F: 0.799 0.381 0.843
F: 0.884 0.172 0.636
F: 0.884 0.328 0.136



Computed powder diffraction line list
Compound: TePb2F8
Radiation: Cu Kα X-rays
Structure: a structure optimized by DFT (GGA-PBE)

Peak list (10 most intense, 5 to 70 degrees two-theta, in order of rising 2θ)
| 2θ (°) | d/Å | Rel. int. |
| --- | --- | --- |
| 21.43 | 4.147 | 90 |
| 22.30 | 3.987 | 87 |
| 26.00 | 3.427 | 100 |
| 28.33 | 3.151 | 67 |
| 31.12 | 2.874 | 40 |
| 38.83 | 2.319 | 36 |
| 41.48 | 2.177 | 39 |
| 43.06 | 2.101 | 29 |
| 43.65 | 2.074 | 45 |
| 58.59 | 1.575 | 22 |

Crystal structure
Cell: 6.728 6.728 4.870 Å, 104.66 104.66 72.68°
Atoms (fractional coordinates):
Te: 0.000 0.000 0.000
Pb: 0.348 0.348 0.660
Pb: 0.652 0.652 0.340
F: 0.066 0.691 0.745
F: 0.128 0.128 0.764
F: 0.309 0.934 0.255
F: 0.420 0.420 0.187
F: 0.580 0.580 0.813
F: 0.691 0.066 0.745
F: 0.872 0.872 0.236
F: 0.934 0.309 0.255



Computed powder diffraction line list
Compound: TePbF6
Radiation: Cu Kα X-rays
Structure: a structure optimized by DFT (GGA-PBE)

Peak list (10 most intense, 5 to 70 degrees two-theta, in order of rising 2θ)
| 2θ (°) | d/Å | Rel. int. |
| --- | --- | --- |
| 20.71 | 4.290 | 62 |
| 22.38 | 3.972 | 100 |
| 25.96 | 3.432 | 68 |
| 30.13 | 2.967 | 12 |
| 36.83 | 2.441 | 29 |
| 38.50 | 2.338 | 26 |
| 39.65 | 2.273 | 39 |
| 40.25 | 2.241 | 17 |
| 45.68 | 1.986 | 16 |
| 47.15 | 1.927 | 18 |

Crystal structure
Cell: 6.029 8.579 5.668 Å, 90.00 100.24 90.00°
Atoms (fractional coordinates):
Te: 0.000 0.000 0.000
Te: 0.500 0.500 0.000
Pb: 0.000 0.500 0.500
Pb: 0.500 0.000 0.500
F: 0.180 0.159 0.245
F: 0.180 0.841 0.245
F: 0.233 0.500 0.188
F: 0.267 0.000 0.812
F: 0.320 0.341 0.755
F: 0.320 0.659 0.755
F: 0.680 0.341 0.245
F: 0.680 0.659 0.245
F: 0.733 0.000 0.188
F: 0.767 0.500 0.812
F: 0.820 0.159 0.755
F: 0.820 0.841 0.755



Computed powder diffraction line list
Compound: Tl3Pb2F7
Radiation: Cu Kα X-rays
Structure: a structure optimized by DFT (GGA-PBE)

Peak list (10 most intense, 5 to 70 degrees two-theta, in order of rising 2θ)
| 2θ (°) | d/Å | Rel. int. |
| --- | --- | --- |
| 24.83 | 3.586 | 63 |
| 26.48 | 3.366 | 100 |
| 26.63 | 3.348 | 88 |
| 30.46 | 2.934 | 26 |
| 36.05 | 2.491 | 37 |
| 39.07 | 2.306 | 29 |
| 44.27 | 2.046 | 30 |
| 44.65 | 2.029 | 37 |
| 47.84 | 1.901 | 59 |
| 59.25 | 1.560 | 27 |

Crystal structure
Cell: 11.681 11.681 4.611 Å, 90.00 90.00 155.37°
Atoms (fractional coordinates):
Tl: 0.000 0.000 0.000
Tl: 0.201 0.799 0.000
Tl: 0.799 0.201 0.000
Pb: 0.389 0.611 0.500
Pb: 0.611 0.389 0.500
F: 0.099 0.901 0.500
F: 0.286 0.714 0.500
F: 0.366 0.634 0.000
F: 0.500 0.500 0.500
F: 0.634 0.366 0.000
F: 0.714 0.286 0.500
F: 0.901 0.099 0.500